Diffraction record for CdPd15. The powder diffraction line list is calculated, not measured: it uses DFT lattice parameters and positions (PBE) and a wavelength of 1.5418 Å.

```
data_CdPd15
_cell_length_a 7.8288
_cell_length_b 2.7952
_cell_length_c 36.2576
_cell_angle_alpha 90.00
_cell_angle_beta 90.02
_cell_angle_gamma 90.00
_symmetry_space_group_name_H-M 'P 1'
_symmetry_Int_Tables_number 1
_symmetry_space_group_name_Hall 'P 1'
loop_
_atom_site_label
_atom_site_type_symbol
_atom_site_fract_x
_atom_site_fract_y
_atom_site_fract_z
Cd1 Cd 0.1250 0.2500 0.2935
Cd2 Cd 0.8750 0.7500 0.7065
Pd1 Pd 0.1209 0.2500 0.8260
Pd2 Pd 0.1222 0.2500 0.7471
Pd3 Pd 0.1254 0.2500 0.0574
Pd4 Pd 0.1248 0.2500 0.1345
Pd5 Pd 0.1249 0.2500 0.2133
Pd6 Pd 0.1249 0.2500 0.9037
Pd7 Pd 0.1259 0.2500 0.9807
Pd8 Pd 0.3709 0.7500 0.1740
Pd9 Pd 0.3722 0.7500 0.2529
Pd10 Pd 0.3749 0.7500 0.0965
Pd11 Pd 0.3750 0.7500 0.7125
Pd12 Pd 0.3751 0.7500 0.7881
Pd13 Pd 0.3748 0.7500 0.8642
Pd14 Pd 0.3753 0.7500 0.9418
Pd15 Pd 0.3760 0.7500 0.0192
Pd16 Pd 0.6240 0.2500 0.9808
Pd17 Pd 0.6247 0.2500 0.0582
Pd18 Pd 0.6252 0.2500 0.1358
Pd19 Pd 0.6249 0.2500 0.2119
Pd20 Pd 0.6250 0.2500 0.2875
Pd21 Pd 0.6251 0.2500 0.9035
Pd22 Pd 0.6278 0.2500 0.7471
Pd23 Pd 0.6291 0.2500 0.8260
Pd24 Pd 0.8741 0.7500 0.0193
Pd25 Pd 0.8751 0.7500 0.0963
Pd26 Pd 0.8751 0.7500 0.7867
Pd27 Pd 0.8752 0.7500 0.8655
Pd28 Pd 0.8746 0.7500 0.9426
Pd29 Pd 0.8778 0.7500 0.2529
Pd30 Pd 0.8791 0.7500 0.1740
```

The 8 most intense peaks (2θ from 10° to 90°), by angle:
2θ/deg  d (Å)  intensity
37.6  2.392  18
39.6  2.273  100
39.7  2.270  23
46.0  1.974  32
46.4  1.956  23
67.4  1.390  20
80.7  1.190  12
81.4  1.182  15

Diffraction record for Cd2Pd9. The powder diffraction line list is calculated, not measured: it uses DFT lattice parameters and positions (PBE) and a wavelength of 1.5418 Å.

```
data_Cd2Pd9
_cell_length_a 2.8350
_cell_length_b 2.8350
_cell_length_c 35.8866
_cell_angle_alpha 90.00
_cell_angle_beta 90.00
_cell_angle_gamma 120.00
_symmetry_space_group_name_H-M 'P 1'
_symmetry_Int_Tables_number 1
_symmetry_space_group_name_Hall 'P 1'
loop_
_atom_site_label
_atom_site_type_symbol
_atom_site_fract_x
_atom_site_fract_y
_atom_site_fract_z
Cd1 Cd 0.3333 0.6667 0.3170
Cd2 Cd 0.6667 0.3333 0.6830
Pd1 Pd 0.0000 0.0000 0.0000
Pd2 Pd 0.0000 0.0000 0.1876
Pd3 Pd 0.0000 0.0000 0.8124
Pd4 Pd 0.3333 0.6667 0.1249
Pd5 Pd 0.3333 0.6667 0.7492
Pd6 Pd 0.3333 0.6667 0.9375
Pd7 Pd 0.6667 0.3333 0.0625
Pd8 Pd 0.6667 0.3333 0.2508
Pd9 Pd 0.6667 0.3333 0.8751
```

The 8 most intense peaks (2θ from 10° to 90°), by angle:
2θ/deg  d (Å)  intensity
38.8  2.323  100
39.7  2.271  46
40.2  2.243  33
44.7  2.026  43
46.3  1.962  52
65.9  1.417  30
66.7  1.403  21
80.1  1.198  25

Diffraction record for CdPd5. The powder diffraction line list is calculated, not measured: it uses DFT lattice parameters and positions (PBE) and a wavelength of 1.5418 Å.

```
data_CdPd5
_cell_length_a 9.5962
_cell_length_b 9.5962
_cell_length_c 9.5962
_cell_angle_alpha 29.69
_cell_angle_beta 29.69
_cell_angle_gamma 29.69
_symmetry_space_group_name_H-M 'P 1'
_symmetry_Int_Tables_number 1
_symmetry_space_group_name_Hall 'P 1'
loop_
_atom_site_label
_atom_site_type_symbol
_atom_site_fract_x
_atom_site_fract_y
_atom_site_fract_z
Cd1 Cd 0.0000 0.0000 0.0000
Cd2 Cd 0.5000 0.5000 0.5000
Pd1 Pd 0.0795 0.7500 0.4205
Pd2 Pd 0.1661 0.1661 0.1661
Pd3 Pd 0.2500 0.5795 0.9205
Pd4 Pd 0.3339 0.3339 0.3339
Pd5 Pd 0.4205 0.0795 0.7500
Pd6 Pd 0.5795 0.9205 0.2500
Pd7 Pd 0.6661 0.6661 0.6661
Pd8 Pd 0.7500 0.4205 0.0795
Pd9 Pd 0.8339 0.8339 0.8339
Pd10 Pd 0.9205 0.2500 0.5795
```

The 8 most intense peaks (2θ from 10° to 90°), by angle:
2θ/deg  d (Å)  intensity
37.9  2.374  43
39.3  2.292  35
41.7  2.166  100
47.5  1.915  22
65.8  1.419  22
72.9  1.298  18
79.4  1.207  26
81.0  1.187  14

Diffraction record for CdPd17. The powder diffraction line list is calculated, not measured: it uses DFT lattice parameters and positions (PBE) and a wavelength of 1.5418 Å.

```
data_CdPd17
_cell_length_a 4.8195
_cell_length_b 5.5630
_cell_length_c 33.5684
_cell_angle_alpha 90.00
_cell_angle_beta 90.05
_cell_angle_gamma 90.00
_symmetry_space_group_name_H-M 'P 1'
_symmetry_Int_Tables_number 1
_symmetry_space_group_name_Hall 'P 1'
loop_
_atom_site_label
_atom_site_type_symbol
_atom_site_fract_x
_atom_site_fract_y
_atom_site_fract_z
Cd1 Cd 0.1658 0.2500 0.2800
Cd2 Cd 0.8342 0.7500 0.7200
Pd1 Pd 0.0000 0.0000 0.0000
Pd2 Pd 0.0000 0.0016 0.2044
Pd3 Pd 0.0000 0.4984 0.2044
Pd4 Pd 0.0000 0.5000 0.0000
Pd5 Pd 0.0000 0.5016 0.7956
Pd6 Pd 0.0000 0.9984 0.7956
Pd7 Pd 0.1674 0.2500 0.0679
Pd8 Pd 0.1666 0.2500 0.8645
Pd9 Pd 0.1668 0.7500 0.0678
Pd10 Pd 0.1665 0.7500 0.8641
Pd11 Pd 0.1684 0.7500 0.2725
Pd12 Pd 0.3334 0.0008 0.1361
Pd13 Pd 0.3334 0.0042 0.7277
Pd14 Pd 0.3334 0.4958 0.7277
Pd15 Pd 0.3334 0.4992 0.1361
Pd16 Pd 0.3336 0.9997 0.9323
Pd17 Pd 0.3336 0.5003 0.9323
Pd18 Pd 0.4979 0.2500 0.2051
Pd19 Pd 0.5000 0.2500 0.0000
Pd20 Pd 0.5001 0.2500 0.7967
Pd21 Pd 0.5000 0.7500 0.0000
Pd22 Pd 0.4999 0.7500 0.2033
Pd23 Pd 0.5021 0.7500 0.7949
Pd24 Pd 0.6664 0.0003 0.0677
Pd25 Pd 0.6664 0.4997 0.0677
Pd26 Pd 0.6666 0.5008 0.8639
Pd27 Pd 0.6666 0.5042 0.2723
Pd28 Pd 0.6666 0.9958 0.2723
Pd29 Pd 0.6666 0.9992 0.8639
Pd30 Pd 0.8316 0.2500 0.7275
Pd31 Pd 0.8335 0.2500 0.1359
Pd32 Pd 0.8332 0.2500 0.9322
Pd33 Pd 0.8334 0.7500 0.1355
Pd34 Pd 0.8326 0.7500 0.9321
```

The 8 most intense peaks (2θ from 10° to 90°), by angle:
2θ/deg  d (Å)  intensity
37.5  2.398  23
38.9  2.316  39
39.7  2.268  100
40.3  2.238  27
44.8  2.024  34
46.4  1.957  60
67.3  1.391  31
81.5  1.181  20